No. 1
# CsRb2GaCl6
Theoretical powder XRD pattern, copper Kα. Input: DFT lattice parameters and positions (PBE).

```
CsRb2GaCl6
1.0
0.000 5.626 5.626
5.626 0.000 5.626
5.626 5.626 0.000
Cs Rb Ga Cl
1 2 1 6
direct
0.000 0.000 0.000
0.250 0.250 0.250
0.750 0.750 0.750
0.500 0.500 0.500
0.287 0.287 0.713
0.287 0.713 0.287
0.287 0.713 0.713
0.713 0.287 0.287
0.713 0.287 0.713
0.713 0.713 0.287
```

Top 12 peaks for 10 to 90 degrees two-theta, sorted by position:
2theta	I (rel.)
15.75	15
22.35	100
27.46	11
31.81	65
39.22	39
45.61	40
51.36	28
56.68	12
61.69	28
71.09	11
75.58	14
88.65	16

=====

No. 2
# ErGa5Co
Theoretical powder XRD pattern, copper Kα. Input: DFT lattice parameters and positions (PBE).

```
ErGa5Co
1.0
4.218 0.000 0.000
0.000 4.218 0.000
0.000 0.000 6.808
Er Ga Co
1 5 1
direct
0.000 0.000 0.000
0.000 0.500 0.310
0.000 0.500 0.690
0.500 0.000 0.310
0.500 0.000 0.690
0.500 0.500 0.000
0.000 0.000 0.500
```

Top 12 peaks for 10 to 90 degrees two-theta, sorted by position:
2theta	I (rel.)
21.06	24
32.78	53
33.84	14
39.72	19
40.20	100
42.89	55
59.88	23
62.26	18
72.17	11
76.43	11
76.75	28
76.99	11

=====

No. 3
# CaTiO3
Theoretical powder XRD pattern, copper Kα. Input: DFT lattice parameters and positions (PBE).

```
CaTiO3
1.0
3.889 0.000 0.000
0.000 3.889 0.000
0.000 0.000 3.889
Ca Ti O
1 1 3
direct
0.000 0.000 0.000
0.500 0.500 0.500
0.000 0.500 0.500
0.500 0.000 0.500
0.500 0.500 0.000
```

Top 11 peaks for 10 to 90 degrees two-theta, sorted by position:
2theta	I (rel.)
22.86	13
32.56	100
40.16	13
46.71	59
52.62	3
58.09	35
68.20	31
72.97	1
77.63	14
82.20	2
86.72	10

=====

No. 4
# MgV4Cu2S8
Theoretical powder XRD pattern, copper Kα. Input: DFT lattice parameters and positions (PBE).

```
MgV4Cu2S8
1.0
3.476 2.007 6.112
-3.476 2.007 6.112
0.000 -4.014 6.112
Mg V Cu S
1 4 2 8
direct
0.000 0.000 0.000
0.000 0.500 0.500
0.500 0.000 0.500
0.500 0.500 0.000
0.500 0.500 0.500
0.141 0.141 0.141
0.859 0.859 0.859
0.257 0.257 0.733
0.257 0.733 0.257
0.261 0.261 0.261
0.267 0.743 0.743
0.733 0.257 0.257
0.739 0.739 0.739
0.743 0.267 0.743
0.743 0.743 0.267
```

Top 12 peaks for 10 to 90 degrees two-theta, sorted by position:
2theta	I (rel.)
24.41	24
25.62	52
28.50	22
29.56	91
30.08	55
35.68	100
45.92	34
47.69	23
50.02	91
52.66	90
75.57	24
84.41	19